No. 1
Diffraction record for PrHo2PaAs4. The powder XRD pattern is simulated, not measured: it uses DFT lattice parameters and positions (GGA-PBE) and a wavelength of 1.5418 Å.
Neutral-atom scattering factors, no anomalous dispersion.

Main lines, in order of falling intensity (2θ = 10–80°):
2θ 30.5, I = 1000, hkl 1 1 1; 2θ 43.6, I = 377, hkl 0 2 0; 2θ 43.8, I = 248, hkl 3 1 -1; 2θ 26.3, I = 210, hkl 0 0 2; 2θ 71.9, I = 170, hkl 1 3 1; 2θ 54.2, I = 133, hkl 2 2 -2

Atomic structure:
a b c (Å): 7.145 4.151 7.200
angles (deg): 90.00 109.47 90.00
Space group P2/m (No. 10)
Inequivalent atoms, fractional coordinates:
Pr 0.000 0.000 0.000
Ho 0.500 0.000 0.500
Ho 0.500 0.500 0.000
Pa 0.000 0.500 0.500
As 0.253 0.000 0.744
As 0.256 0.500 0.262



No. 2
Diffraction record for SiS. The powder XRD pattern is simulated, not measured: it uses DFT lattice parameters and positions (GGA-PBE) and a wavelength of 1.5418 Å.
Neutral-atom scattering factors, no anomalous dispersion.

Main lines, in order of falling intensity (2θ = 10–80°):
2θ 18.6, I = 1000, hkl 0 1 1; 2θ 36.1, I = 973, hkl 1 1 2; 2θ 26.9, I = 721, hkl 1 1 0; 2θ 37.7, I = 478, hkl 0 2 2; 2θ 52.5, I = 328, hkl 2 0 2; 2θ 55.4, I = 272, hkl 2 2 0

Atomic structure:
a b c (Å): 3.929 6.185 7.505
angles (deg): 90.00 90.00 90.00
Space group I2_12_12_1 (No. 24)
Inequivalent atoms, fractional coordinates:
Si 0.000 0.250 0.092
S 0.240 0.500 0.250



No. 3
Diffraction record for CaSmTh2Pt4. The powder XRD pattern is simulated, not measured: it uses DFT lattice parameters and positions (GGA-PBE) and a wavelength of 1.5418 Å.
Neutral-atom scattering factors, no anomalous dispersion.

Main lines, in order of falling intensity (2θ = 10–80°):
2θ 30.3, I = 1000, hkl 2 0 2; 2θ 43.6, I = 753, hkl 2 4 2; 2θ 30.6, I = 517, hkl 0 4 0; 2θ 72.1, I = 247, hkl 2 8 2; 2θ 54.4, I = 195, hkl 4 4 0; 2θ 53.8, I = 189, hkl 0 4 4

Atomic structure:
a b c (Å): 8.267 11.694 8.396
angles (deg): 90.00 90.00 90.00
Space group Fmm2 (No. 42)
Inequivalent atoms, fractional coordinates:
Ca 0.000 0.000 0.000
Sm 0.000 0.000 0.537
Th 0.250 0.250 0.299
Pt 0.000 0.250 0.050
Pt 0.229 0.000 0.269



No. 4
Diffraction record for LiCe3Nd4Te8. The powder XRD pattern is simulated, not measured: it uses DFT lattice parameters and positions (GGA-PBE) and a wavelength of 1.5418 Å.
Neutral-atom scattering factors, no anomalous dispersion.

Main lines, in order of falling intensity (2θ = 10–80°):
2θ 28.2, I = 1000, hkl 0 2 4; 2θ 40.2, I = 382, hkl 2 0 8; 2θ 40.3, I = 379, hkl 2 2 0; 2θ 49.9, I = 203, hkl 4 0 4; 2θ 73.3, I = 190, hkl 6 0 0; 2θ 65.9, I = 174, hkl 2 2 12

Atomic structure:
a b c (Å): 8.9463 8.9463 22.0053
angles (deg): 90.00 90.00 120.00
Space group R-3m (No. 166, hexagonal axes)
Inequivalent atoms, fractional coordinates:
Li 0.0000 0.0000 0.0000
Ce 0.0000 0.5000 0.0000
Nd 0.0000 0.0000 0.5000
Nd 0.0000 0.5000 0.5000
Te 0.0000 0.0000 0.2502
Te 0.0088 0.5044 0.7477



No. 5
Diffraction record for ZrGeIrS2. The powder XRD pattern is simulated, not measured: it uses DFT lattice parameters and positions (GGA-PBE) and a wavelength of 1.5418 Å.
Neutral-atom scattering factors, no anomalous dispersion.

Main lines, in order of falling intensity (2θ = 10–80°):
2θ 24.6, I = 1000, hkl 1 0 1; 2θ 26.1, I = 836, hkl 1 1 0; 2θ 30.9, I = 744, hkl 1 1 1; 2θ 37.3, I = 706, hkl 2 0 0; 2θ 50.4, I = 588, hkl 2 0 2; 2θ 32.6, I = 514, hkl 0 0 2

Atomic structure:
a b c (Å): 4.819 4.819 5.498
angles (deg): 90.00 90.00 90.00
Space group P4/mmm (No. 123)
Inequivalent atoms, fractional coordinates:
Zr 0.000 0.000 0.000
Ge 0.000 0.000 0.500
Ir 0.500 0.500 0.500
S 0.000 0.500 0.000



No. 6
Diffraction record for Rb2TcCl5O. The powder XRD pattern is simulated, not measured: it uses DFT lattice parameters and positions (GGA-PBE) and a wavelength of 1.5418 Å.
Neutral-atom scattering factors, no anomalous dispersion.

Main lines, in order of falling intensity (2θ = 10–80°):
2θ 15.2, I = 1000, hkl 1 0 1; 2θ 25.4, I = 888, hkl 1 1 2; 2θ 34.2, I = 846, hkl 2 2 0; 2θ 30.6, I = 775, hkl 2 0 2; 2θ 52.1, I = 420, hkl 2 2 4; 2θ 43.1, I = 400, hkl 3 1 2

Atomic structure:
a b c (Å): 7.412 7.412 9.463
angles (deg): 90.00 90.00 90.00
Space group I4mm (No. 107)
Inequivalent atoms, fractional coordinates:
Rb 0.000 0.500 0.000
Tc 0.000 0.000 0.230
Cl 0.000 0.000 0.490
Cl 0.229 0.229 0.251
O 0.000 0.000 0.052